(1)
Computed X-ray diffraction stick pattern of Sc4SnRu3 for copper Kα, from a PBE-relaxed structure.
Intensities are scaled so that the largest is 100.

Principal peaks in the range 2θ = 10–90°, low angle first:
d [Å], 2theta, I/Imax
3.291, 27.10, 45
2.337, 38.53, 98
2.318, 38.86, 100
1.895, 48.01, 10
1.645, 55.88, 32
1.477, 62.94, 11
1.467, 63.41, 9
1.353, 69.48, 15
1.342, 70.14, 32
1.338, 70.36, 16
1.168, 82.58, 9
1.159, 83.41, 10

Cell and atoms:
```
data_Sc4SnRu3
_chemical_formula_sum 'Sc12 Sn3 Ru9'
_symmetry_space_group_name_H-M 'R -3 m'
_symmetry_Int_Tables_number 166
_symmetry_space_group_name_Hall '-R 3 2"'
_cell_length_a 4.6351
_cell_length_b 4.6351
_cell_length_c 22.9897
_cell_angle_alpha 90.00
_cell_angle_beta 90.00
_cell_angle_gamma 120.00
loop_
_atom_site_label
_atom_site_fract_x
_atom_site_fract_y
_atom_site_fract_z
Sc1 0.0000 0.0000 0.1162
Sc2 0.0000 0.0000 0.3695
Sn1 0.0000 0.0000 0.5000
Ru1 0.0000 0.0000 0.0000
Ru2 0.0000 0.0000 0.2488
```

(2)
Computed X-ray diffraction stick pattern of PmTm2ZrSc4 for copper Kα, from a PBE-relaxed structure.
Intensities are scaled so that the largest is 100.

Principal peaks in the range 2θ = 10–90°, low angle first:
d [Å], 2theta, I/Imax
3.832, 23.21, 36
3.626, 24.55, 16
2.709, 33.06, 55
2.634, 34.04, 100
2.170, 41.61, 17
1.916, 47.46, 20
1.713, 53.48, 9
1.549, 59.68, 38
1.507, 61.55, 17
1.317, 71.67, 11
1.212, 79.03, 8
1.205, 79.58, 8

Cell and atoms:
```
data_PmTm2ZrSc4
_chemical_formula_sum 'Pm1 Tm2 Zr1 Sc4'
_symmetry_space_group_name_H-M 'P 4/m m m'
_symmetry_Int_Tables_number 123
_symmetry_space_group_name_Hall '-P 4 2'
_cell_length_a 5.4187
_cell_length_b 5.4187
_cell_length_c 7.2514
_cell_angle_alpha 90.00
_cell_angle_beta 90.00
_cell_angle_gamma 90.00
loop_
_atom_site_label
_atom_site_fract_x
_atom_site_fract_y
_atom_site_fract_z
Pm1 0.0000 0.0000 0.0000
Tm1 0.0000 0.0000 0.5000
Tm2 0.5000 0.5000 0.0000
Zr1 0.5000 0.5000 0.5000
Sc1 0.0000 0.5000 0.2685
```

(3)
Computed X-ray diffraction stick pattern of RbHgAu for copper Kα, from a PBE-relaxed structure.
Intensities are scaled so that the largest is 100.

Principal peaks in the range 2θ = 10–90°, low angle first:
d [Å], 2theta, I/Imax
5.400, 16.41, 87
4.409, 20.14, 82
3.416, 26.09, 85
3.118, 28.63, 75
2.700, 33.18, 73
2.546, 35.25, 100
2.303, 39.12, 35
2.118, 42.69, 37
2.041, 44.38, 85
1.852, 49.19, 82
1.498, 61.95, 65
1.418, 65.85, 38

Cell and atoms:
```
data_RbHgAu
_chemical_formula_sum 'Rb4 Hg4 Au4'
_symmetry_space_group_name_H-M 'P 21 3'
_symmetry_Int_Tables_number 198
_symmetry_space_group_name_Hall 'P 2ac 2ab 3'
_cell_length_a 7.6374
_cell_length_b 7.6374
_cell_length_c 7.6374
_cell_angle_alpha 90.00
_cell_angle_beta 90.00
_cell_angle_gamma 90.00
loop_
_atom_site_label
_atom_site_fract_x
_atom_site_fract_y
_atom_site_fract_z
Rb1 0.0763 0.0763 0.0763
Hg1 0.0644 0.5644 0.9356
Au1 0.1877 0.3123 0.6877
```

(4)
Computed X-ray diffraction stick pattern of Li5Ac2Au12 for copper Kα, from a PBE-relaxed structure.
Intensities are scaled so that the largest is 100.

Principal peaks in the range 2θ = 10–90°, low angle first:
d [Å], 2theta, I/Imax
4.745, 18.70, 17
3.559, 25.02, 17
3.036, 29.42, 22
2.741, 32.68, 16
2.689, 33.32, 30
2.372, 37.93, 100
2.122, 42.61, 25
1.793, 50.94, 9
1.501, 61.82, 10
1.424, 65.57, 8
1.369, 68.52, 17
1.186, 81.06, 10

Cell and atoms:
```
data_Li5Ac2Au12
_chemical_formula_sum 'Li15 Ac6 Au36'
_symmetry_space_group_name_H-M 'R -3 m'
_symmetry_Int_Tables_number 166
_symmetry_space_group_name_Hall '-R 3 2"'
_cell_length_a 9.4936
_cell_length_b 9.4936
_cell_length_c 14.2182
_cell_angle_alpha 90.00
_cell_angle_beta 90.00
_cell_angle_gamma 120.00
loop_
_atom_site_label
_atom_site_fract_x
_atom_site_fract_y
_atom_site_fract_z
Li1 0.0000 0.0000 0.0899
Li2 0.0000 0.5000 0.5000
Ac1 0.0000 0.0000 0.3509
Au1 0.0000 0.2997 0.0000
Au2 0.0222 0.5111 0.8459
```

(5)
Computed X-ray diffraction stick pattern of TaVCo6 for copper Kα, from a PBE-relaxed structure.
Intensities are scaled so that the largest is 100.

Principal peaks in the range 2θ = 10–90°, low angle first:
d [Å], 2theta, I/Imax
5.840, 15.17, 6
4.527, 19.61, 4
3.826, 23.25, 5
3.578, 24.89, 10
2.807, 31.89, 5
2.530, 35.48, 8
2.322, 38.79, 3
2.066, 43.83, 100
1.789, 51.05, 47
1.600, 57.61, 4
1.461, 63.71, 3
1.265, 75.10, 27

Cell and atoms:
```
data_TaVCo6
_chemical_formula_sum 'Ta8 V8 Co48'
_symmetry_space_group_name_H-M 'C m m m'
_symmetry_Int_Tables_number 65
_symmetry_space_group_name_Hall '-C 2 2'
_cell_length_a 7.1503
_cell_length_b 10.1217
_cell_length_c 10.1261
_cell_angle_alpha 90.00
_cell_angle_beta 90.00
_cell_angle_gamma 90.00
loop_
_atom_site_label
_atom_site_fract_x
_atom_site_fract_y
_atom_site_fract_z
Ta1 0.0000 0.0000 0.2485
Ta2 0.0000 0.2471 0.5000
V1 0.0000 0.2473 0.0000
V2 0.0000 0.5000 0.2484
Co1 0.0000 0.0000 0.0000
Co2 0.0000 0.0000 0.5000
Co3 0.0000 0.2535 0.2435
Co4 0.0000 0.5000 0.0000
Co5 0.0000 0.5000 0.5000
Co6 0.2436 0.3767 0.3710
Co7 0.2446 0.3732 0.1214
```

(6)
Computed X-ray diffraction stick pattern of AgSb5 for copper Kα, from a PBE-relaxed structure.
Intensities are scaled so that the largest is 100.

Principal peaks in the range 2θ = 10–90°, low angle first:
d [Å], 2theta, I/Imax
3.053, 29.25, 100
3.043, 29.35, 50
2.172, 41.58, 19
2.155, 41.92, 75
2.146, 42.11, 18
1.768, 51.71, 20
1.754, 52.16, 19
1.527, 60.66, 12
1.364, 68.80, 17
1.362, 68.96, 16
1.251, 76.10, 12
1.241, 76.82, 18

Cell and atoms:
```
data_AgSb5
_chemical_formula_sum 'Ag2 Sb10'
_symmetry_space_group_name_H-M 'A m m 2'
_symmetry_Int_Tables_number 38
_cell_length_a 6.0858
_cell_length_b 4.3439
_cell_length_c 12.8758
_cell_angle_alpha 90.00
_cell_angle_beta 90.00
_cell_angle_gamma 90.00
loop_
_symmetry_equiv_pos_as_xyz
'x,y,z'
'-x,-y,z'
'-x,y,z'
'x,-y,z'
'x,y+1/2,z+1/2'
'-x,-y+1/2,z+1/2'
'-x,y+1/2,z+1/2'
'x,-y+1/2,z+1/2'
loop_
_atom_site_label
_atom_site_fract_x
_atom_site_fract_y
_atom_site_fract_z
Ag1 0.0000 0.0000 0.0000
Sb1 0.0000 0.0000 0.3304
Sb2 0.0000 0.0000 0.6696
Sb3 0.5000 0.0000 0.9996
Sb4 0.5000 0.0000 0.3316
Sb5 0.5000 0.0000 0.6676
```